[1]
Computed powder diffractogram
Compound: Ac2AlZnIr2
Radiation: a wavelength of 1.5418 Å
Structure: a crystal structure in Alexandria, relaxed with GGA-PBE

Principal peaks in the range 5° ≤ 2θ ≤ 70°, sorted by position:
hkl 0 0 2, 29.8 deg, 2.997 Å, intensity 44; hkl 2 0 0, 29.9 deg, 2.985 Å, intensity 42; hkl 1 4 1, 31.1 deg, 2.876 Å, intensity 100; hkl 0 4 2, 37.8 deg, 2.381 Å, intensity 42; hkl 2 0 2, 42.8 deg, 2.115 Å, intensity 53; hkl 1 8 1, 51.4 deg, 1.779 Å, intensity 44

Structural model:
Cell: 5.9698 15.6868 5.9939 Å, 90.00 90.00 90.00°
Space group Ibam (No. 72)
Asymmetric unit:
Ac: 0.2409 0.1638 0.0000 [8 per cell]
Al: 0.0000 0.5000 0.2500 [4 per cell]
Zn: 0.0000 0.0000 0.2500 [4 per cell]
Ir: 0.2322 0.3982 0.0000 [8 per cell]

=====

[2]
Computed powder diffractogram
Compound: K2AcAl2O6
Radiation: a wavelength of 1.5418 Å
Structure: a crystal structure in Alexandria, relaxed with GGA-PBE

Principal peaks in the range 5° ≤ 2θ ≤ 70°, sorted by position:
hkl 0 0 1, 13.8 deg, 6.409 Å, intensity 67; hkl 1 0 0, 18.4 deg, 4.822 Å, intensity 26; hkl 1 0 1, 23.1 deg, 3.853 Å, intensity 100; hkl 1 1 0, 32.1 deg, 2.784 Å, intensity 43; hkl 2 0 1, 39.9 deg, 2.257 Å, intensity 34; hkl 1 1 2, 43.0 deg, 2.102 Å, intensity 57

Structural model:
Cell: 5.5684 5.5684 6.4088 Å, 90.00 90.00 120.00°
Space group P-31m (No. 162)
Asymmetric unit:
K: 0.3333 0.6667 0.0000 [2 per cell]
Ac: 0.0000 0.0000 0.5000 [1 per cell]
Al: 0.3333 0.6667 0.5000 [2 per cell]
O: 0.0000 0.4015 0.3354 [6 per cell]

=====

[3]
Computed powder diffractogram
Compound: K4Ac3AlS8
Radiation: a wavelength of 1.5418 Å
Structure: a crystal structure in Alexandria, relaxed with GGA-PBE

Principal peaks in the range 5° ≤ 2θ ≤ 70°, sorted by position:
hkl 0 0 1, 11.9 deg, 7.463 Å, intensity 100; hkl 2 2 0, 25.5 deg, 3.499 Å, intensity 36; hkl 4 0 0, 28.7 deg, 3.114 Å, intensity 47; hkl 2 2 -2, 29.1 deg, 3.072 Å, intensity 84; hkl 2 2 2, 40.4 deg, 2.232 Å, intensity 47; hkl 6 2 -2, 42.1 deg, 2.146 Å, intensity 34

Structural model:
Cell: 14.9381 8.4594 8.9504 Å, 90.00 123.51 90.00°
Space group C2/m (No. 12)
Asymmetric unit:
K: 0.0000 0.0000 0.0000 [2 per cell]
K: 0.0000 0.5000 0.0000 [2 per cell]
K: 0.2500 0.2500 0.0000 [4 per cell]
Ac: 0.0000 0.0000 0.5000 [2 per cell]
Ac: 0.2500 0.2500 0.5000 [4 per cell]
Al: 0.0000 0.5000 0.5000 [2 per cell]
S: 0.0087 0.2920 0.3133 [8 per cell]
S: 0.2371 0.0000 0.7195 [4 per cell]
S: 0.2488 0.5000 0.7286 [4 per cell]

=====

[4]
Computed powder diffractogram
Compound: AcLa2Al6
Radiation: a wavelength of 1.5418 Å
Structure: a crystal structure in Alexandria, relaxed with GGA-PBE

Principal peaks in the range 5° ≤ 2θ ≤ 70°, sorted by position:
hkl 1 1 0, 22.9 deg, 3.888 Å, intensity 51; hkl 1 1 1, 30.3 deg, 2.946 Å, intensity 100; hkl 3 0 0, 40.2 deg, 2.245 Å, intensity 30; hkl 2 2 1, 51.2 deg, 1.786 Å, intensity 23; hkl 3 0 2, 57.9 deg, 1.591 Å, intensity 21; hkl 4 1 1, 67.0 deg, 1.397 Å, intensity 21

Structural model:
Cell: 7.7767 7.7767 4.5128 Å, 90.00 90.00 120.00°
Space group P6/mmm (No. 191)
Asymmetric unit:
Ac: 0.0000 0.0000 0.0000 [1 per cell]
La: 0.3333 0.6667 0.0000 [2 per cell]
Al: 0.0000 0.3356 0.5000 [6 per cell]

=====

[5]
Computed powder diffractogram
Compound: AcLaAl2
Radiation: a wavelength of 1.5418 Å
Structure: a crystal structure in Alexandria, relaxed with GGA-PBE

Principal peaks in the range 5° ≤ 2θ ≤ 70°, sorted by position:
hkl 1 1 0, 19.3 deg, 4.599 Å, intensity 37; hkl 0 0 2, 24.0 deg, 3.714 Å, intensity 37; hkl 0 4 1, 29.7 deg, 3.012 Å, intensity 34; hkl 1 3 1, 29.8 deg, 2.995 Å, intensity 100; hkl 1 1 2, 31.0 deg, 2.889 Å, intensity 48; hkl 2 0 0, 36.6 deg, 2.453 Å, intensity 20

Structural model:
Cell: 4.9070 13.1818 7.4273 Å, 90.00 90.00 90.00°
Space group Cmcm (No. 63)
Asymmetric unit:
Ac: 0.0000 0.0641 0.2500 [4 per cell]
La: 0.0000 0.2237 0.7500 [4 per cell]
Al: 0.0000 0.4041 0.0713 [8 per cell]

=====

[6]
Computed powder diffractogram
Compound: AcLa14Al
Radiation: a wavelength of 1.5418 Å
Structure: a crystal structure in Alexandria, relaxed with GGA-PBE

Principal peaks in the range 5° ≤ 2θ ≤ 70°, sorted by position:
hkl 2 0 2, 29.8 deg, 3.003 Å, intensity 100; hkl 2 2 0, 34.4 deg, 2.606 Å, intensity 33; hkl 0 0 4, 34.7 deg, 2.589 Å, intensity 17; hkl 2 2 4, 49.6 deg, 1.837 Å, intensity 23; hkl 4 2 2, 58.8 deg, 1.571 Å, intensity 26; hkl 2 0 6, 59.1 deg, 1.563 Å, intensity 14

Structural model:
Cell: 7.3722 7.3722 10.3541 Å, 90.00 90.00 90.00°
Space group P4/mmm (No. 123)
Asymmetric unit:
Ac: 0.0000 0.0000 0.0000 [1 per cell]
La: 0.0000 0.0000 0.5000 [1 per cell]
La: 0.0000 0.5000 0.0000 [2 per cell]
La: 0.0000 0.5000 0.5000 [2 per cell]
La: 0.2674 0.2674 0.2409 [8 per cell]
La: 0.5000 0.5000 0.5000 [1 per cell]
Al: 0.5000 0.5000 0.0000 [1 per cell]

=====

[7]
Computed powder diffractogram
Compound: AcLaMgAl
Radiation: a wavelength of 1.5418 Å
Structure: a crystal structure in Alexandria, relaxed with GGA-PBE

Principal peaks in the range 5° ≤ 2θ ≤ 70°, sorted by position:
hkl 0 0 2, 22.0 deg, 4.042 Å, intensity 34; hkl 1 0 0, 22.7 deg, 3.918 Å, intensity 66; hkl 1 0 2, 31.8 deg, 2.813 Å, intensity 100; hkl 1 1 0, 32.3 deg, 2.770 Å, intensity 50; hkl 1 1 2, 39.4 deg, 2.285 Å, intensity 31; hkl 2 1 2, 57.3 deg, 1.608 Å, intensity 38

Structural model:
Cell: 3.9180 3.9180 8.0831 Å, 90.00 90.00 90.00°
Space group P4mm (No. 99)
Asymmetric unit:
Ac: 0.0000 0.0000 0.0000 [1 per cell]
La: 0.0000 0.0000 0.5343 [1 per cell]
Mg: 0.5000 0.5000 0.2811 [1 per cell]
Al: 0.5000 0.5000 0.7526 [1 per cell]

=====

[8]
Computed powder diffractogram
Compound: LiAc2Al3
Radiation: a wavelength of 1.5418 Å
Structure: a crystal structure in Alexandria, relaxed with GGA-PBE

Principal peaks in the range 5° ≤ 2θ ≤ 70°, sorted by position:
hkl 1 1 0, 21.2 deg, 4.187 Å, intensity 100; hkl 2 0 0, 21.8 deg, 4.078 Å, intensity 37; hkl 2 0 -2, 22.3 deg, 3.986 Å, intensity 44; hkl 1 1 -2, 30.7 deg, 2.916 Å, intensity 61; hkl 3 1 -2, 31.3 deg, 2.859 Å, intensity 56; hkl 0 2 0, 36.8 deg, 2.440 Å, intensity 25

Structural model:
Cell: 11.1926 4.8798 7.9771 Å, 90.00 133.22 90.00°
Space group Cm (No. 8)
Asymmetric unit:
Li: 0.0000 0.0000 0.0000 [2 per cell]
Ac: 0.2901 0.0000 0.9675 [2 per cell]
Ac: 0.3771 0.0000 0.5575 [2 per cell]
Al: 0.1618 0.5000 0.5205 [2 per cell]
Al: 0.1767 0.5000 0.1600 [2 per cell]
Al: 0.4940 0.5000 0.3724 [2 per cell]